Structure and simulated powder diffractogram of NaAc4Pr (a DFT-relaxed cell (GGA-PBE, Alexandria); Cu Kα, 1.54184 Å).
Lines closer than 0.1° are merged.

Structural model:
```
data_NaAc4Pr
_chemical_formula_sum 'Na4 Ac16 Pr4'
_space_group_name_H-M_alt 'F -4 3 m'
_space_group_IT_number 216
_space_group_name_Hall 'F -4 2 3'
_cell_length_a 10.3873
_cell_length_b 10.3873
_cell_length_c 10.3873
_cell_angle_alpha 90.00
_cell_angle_beta 90.00
_cell_angle_gamma 90.00
loop_
_atom_site_label
_atom_site_type_symbol
_atom_site_fract_x
_atom_site_fract_y
_atom_site_fract_z
_atom_site_occupancy
Na1 Na 0.0000 0.0000 0.0000 1
Ac1 Ac 0.1235 0.1235 0.3765 1
Pr1 Pr 0.2500 0.2500 0.7500 1
```

Top 8 peaks for 10° ≤ 2θ ≤ 90°, by intensity:
(hkl)  d/Å  I (rel.)
3 1 1  3.132  1000
2 2 2  2.999  735
1 1 1  5.997  539
3 3 3  1.999  382
4 4 0  1.836  382
6 2 2  1.566  334
7 3 1  1.352  248
4 0 0  2.597  243



Structure and simulated powder diffractogram of NaAcPrSe3 (a DFT-relaxed cell (GGA-PBE, Alexandria); Cu Kα, 1.54184 Å).
Lines closer than 0.1° are merged.

Structural model:
```
data_NaAcPrSe3
_chemical_formula_sum 'Na2 Ac2 Pr2 Se6'
_space_group_name_H-M_alt 'P 1 21/m 1'
_space_group_IT_number 11
_cell_length_a 8.8416
_cell_length_b 4.2968
_cell_length_c 9.5229
_cell_angle_alpha 90.00
_cell_angle_beta 105.08
_cell_angle_gamma 90.00
loop_
_space_group_symop_operation_xyz
'x,y,z'
'-x,-y,-z'
'-x,y+1/2,-z'
'x,-y+1/2,z'
loop_
_atom_site_label
_atom_site_type_symbol
_atom_site_fract_x
_atom_site_fract_y
_atom_site_fract_z
_atom_site_occupancy
Na1 Na 0.0981 0.2500 0.0882 1
Ac1 Ac 0.1973 0.2500 0.7255 1
Pr1 Pr 0.3379 0.7500 0.3496 1
Se1 Se 0.0943 0.2500 0.3773 1
Se2 Se 0.2401 0.7500 0.9909 1
Se3 Se 0.4358 0.7500 0.6754 1
```

Top 8 peaks for 10° ≤ 2θ ≤ 90°, by intensity:
(hkl)  d/Å  I (rel.)
2 1 -1  3.048  1000
2 1 0  3.028  779
0 0 3  3.065  476
2 1 -3  2.386  401
0 2 0  2.148  352
2 1 2  2.338  350
4 0 -1  2.209  314
0 1 1  3.893  303



Structure and simulated powder diffractogram of Na4Ac3ScS8 (a DFT-relaxed cell (GGA-PBE, Alexandria); Cu Kα, 1.54184 Å).
Lines closer than 0.1° are merged.

Structural model:
```
data_Na4Ac3ScS8
_chemical_formula_sum 'Na12 Ac9 Sc3 S24'
_space_group_name_H-M_alt 'R -3 m'
_space_group_IT_number 166
_space_group_name_Hall '-R 3 2"'
_cell_length_a 8.4546
_cell_length_b 8.4546
_cell_length_c 20.1439
_cell_angle_alpha 90.00
_cell_angle_beta 90.00
_cell_angle_gamma 120.00
loop_
_atom_site_label
_atom_site_type_symbol
_atom_site_fract_x
_atom_site_fract_y
_atom_site_fract_z
_atom_site_occupancy
Na1 Na 0.0000 0.0000 0.0000 1
Na2 Na 0.0000 0.5000 0.0000 1
Ac1 Ac 0.0000 0.5000 0.5000 1
Sc1 Sc 0.0000 0.0000 0.5000 1
S1 S 0.0000 0.0000 0.2487 1
S2 S 0.0282 0.5141 0.2428 1
```

Top 8 peaks for 10° ≤ 2θ ≤ 90°, by intensity:
(hkl)  d/Å  I (rel.)
0 2 4  2.961  1000
0 0 3  6.715  817
0 2 1  3.602  512
2 2 0  2.114  370
2 0 2  3.441  366
2 0 8  2.075  349
2 2 3  2.016  241
2 0 5  2.709  217



Structure and simulated powder diffractogram of NaAcSm2S4 (a DFT-relaxed cell (GGA-PBE, Alexandria); Cu Kα, 1.54184 Å).
Lines closer than 0.1° are merged.

Structural model:
```
data_NaAcSm2S4
_chemical_formula_sum 'Na1 Ac1 Sm2 S4'
_space_group_name_H-M_alt 'P 1 2/m 1'
_space_group_IT_number 10
_cell_length_a 7.0422
_cell_length_b 4.0855
_cell_length_c 7.2464
_cell_angle_alpha 90.00
_cell_angle_beta 108.92
_cell_angle_gamma 90.00
loop_
_space_group_symop_operation_xyz
'x,y,z'
'-x,-y,-z'
'-x,y,-z'
'x,-y,z'
loop_
_atom_site_label
_atom_site_type_symbol
_atom_site_fract_x
_atom_site_fract_y
_atom_site_fract_z
_atom_site_occupancy
Na1 Na 0.0000 0.0000 0.0000 1
Ac1 Ac 0.5000 0.5000 0.0000 1
Sm1 Sm 0.0000 0.5000 0.5000 1
Sm2 Sm 0.5000 0.0000 0.5000 1
S1 S 0.2390 0.0000 0.7356 1
S2 S 0.2524 0.5000 0.2643 1
```

Top 8 peaks for 10° ≤ 2θ ≤ 90°, by intensity:
(hkl)  d/Å  I (rel.)
1 1 1  2.910  1000
2 0 0  3.338  511
1 1 -3  2.078  374
3 1 -1  2.035  236
1 0 0  6.662  184
0 0 2  3.428  183
1 0 -1  5.811  143
2 2 -2  1.671  126



Structure and simulated powder diffractogram of Na3Ac2TmS6 (a DFT-relaxed cell (GGA-PBE, Alexandria); Cu Kα, 1.54184 Å).
Lines closer than 0.1° are merged.

Structural model:
```
data_Na3Ac2TmS6
_chemical_formula_sum 'Na6 Ac4 Tm2 S12'
_space_group_name_H-M_alt 'C 1 2/m 1'
_space_group_IT_number 12
_cell_length_a 18.2931
_cell_length_b 4.2129
_cell_length_c 8.2922
_cell_angle_alpha 90.00
_cell_angle_beta 101.51
_cell_angle_gamma 90.00
loop_
_space_group_symop_operation_xyz
'x,y,z'
'-x,-y,-z'
'-x,y,-z'
'x,-y,z'
'x+1/2,y+1/2,z'
'-x+1/2,-y+1/2,-z'
'-x+1/2,y+1/2,-z'
'x+1/2,-y+1/2,z'
loop_
_atom_site_label
_atom_site_type_symbol
_atom_site_fract_x
_atom_site_fract_y
_atom_site_fract_z
_atom_site_occupancy
Na1 Na 0.0000 0.0000 0.0000 1
Na2 Na 0.1579 0.5000 0.3259 1
Ac1 Ac 0.1651 0.5000 0.8218 1
Tm1 Tm 0.0000 0.0000 0.5000 1
S1 S 0.0012 0.5000 0.7217 1
S2 S 0.1528 0.0000 0.5687 1
S3 S 0.1674 0.0000 0.0773 1
```

Top 8 peaks for 10° ≤ 2θ ≤ 90°, by intensity:
(hkl)  d/Å  I (rel.)
2 0 -1  6.724  1000
1 1 -2  2.954  721
3 1 0  3.446  468
1 1 1  3.596  433
6 0 0  2.988  368
0 0 3  2.713  276
5 1 2  2.122  266
7 1 -2  2.080  258



Structure and simulated powder diffractogram of NaAc2US6 (a DFT-relaxed cell (GGA-PBE, Alexandria); Cu Kα, 1.54184 Å).
Lines closer than 0.1° are merged.

Structural model:
```
data_NaAc2US6
_chemical_formula_sum 'Na3 Ac6 U3 S18'
_space_group_name_H-M_alt 'R 3'
_space_group_IT_number 146
_space_group_name_Hall 'R 3'
_cell_length_a 7.2960
_cell_length_b 7.2960
_cell_length_c 18.5420
_cell_angle_alpha 90.00
_cell_angle_beta 90.00
_cell_angle_gamma 120.00
loop_
_atom_site_label
_atom_site_type_symbol
_atom_site_fract_x
_atom_site_fract_y
_atom_site_fract_z
_atom_site_occupancy
Na1 Na 0.0000 0.0000 0.0000 1
Ac1 Ac 0.0000 0.0000 0.2780 1
Ac2 Ac 0.0000 0.0000 0.7863 1
U1 U 0.0000 0.0000 0.4895 1
S1 S 0.0002 0.3906 0.2297 1
S2 S 0.0680 0.6930 0.0675 1
```

Top 8 peaks for 10° ≤ 2θ ≤ 90°, by intensity:
(hkl)  d/Å  I (rel.)
1 1 0  3.648  1000
1 0 4  3.738  962
2 -1 6  2.358  575
0 2 4  2.611  524
3 -1 4  2.123  505
0 1 2  5.221  431
3 0 0  2.106  425
1 0 1  5.981  375



Structure and simulated powder diffractogram of Na2AcSb (a DFT-relaxed cell (GGA-PBE, Alexandria); Cu Kα, 1.54184 Å).
Lines closer than 0.1° are merged.

Structural model:
```
data_Na2AcSb
_chemical_formula_sum 'Na8 Ac4 Sb4'
_space_group_name_H-M_alt 'F m -3 m'
_space_group_IT_number 225
_space_group_name_Hall '-F 4 2 3'
_cell_length_a 7.8218
_cell_length_b 7.8218
_cell_length_c 7.8218
_cell_angle_alpha 90.00
_cell_angle_beta 90.00
_cell_angle_gamma 90.00
loop_
_atom_site_label
_atom_site_type_symbol
_atom_site_fract_x
_atom_site_fract_y
_atom_site_fract_z
_atom_site_occupancy
Na1 Na 0.2500 0.2500 0.2500 1
Ac1 Ac 0.0000 0.0000 0.0000 1
Sb1 Sb 0.0000 0.0000 0.5000 1
```

Top 8 peaks for 10° ≤ 2θ ≤ 90°, by intensity:
(hkl)  d/Å  I (rel.)
2 2 0  2.765  1000
2 0 0  3.911  672
4 2 2  1.597  383
4 2 0  1.749  298
2 2 2  2.258  213
4 0 0  1.955  184
6 2 0  1.237  163
6 0 0  1.304  145



Structure and simulated powder diffractogram of NaAc3Se5 (a DFT-relaxed cell (GGA-PBE, Alexandria); Cu Kα, 1.54184 Å).
Lines closer than 0.1° are merged.

Structural model:
```
data_NaAc3Se5
_chemical_formula_sum 'Na4 Ac12 Se20'
_space_group_name_H-M_alt 'I 4/m c m'
_space_group_IT_number 140
_space_group_name_Hall '-I 4 2c'
_cell_length_a 8.3772
_cell_length_b 8.3772
_cell_length_c 14.9622
_cell_angle_alpha 90.00
_cell_angle_beta 90.00
_cell_angle_gamma 90.00
loop_
_atom_site_label
_atom_site_type_symbol
_atom_site_fract_x
_atom_site_fract_y
_atom_site_fract_z
_atom_site_occupancy
Na1 Na 0.0000 0.5000 0.2500 1
Ac1 Ac 0.0000 0.0000 0.2500 1
Ac2 Ac 0.1534 0.3466 0.0000 1
Se1 Se 0.0000 0.0000 0.0000 1
Se2 Se 0.1720 0.3280 0.3593 1
```

Top 8 peaks for 10° ≤ 2θ ≤ 90°, by intensity:
(hkl)  d/Å  I (rel.)
2 1 3  2.995  1000
3 1 0  2.649  539
1 1 2  4.644  284
2 1 5  2.338  282
0 0 8  1.872  221
2 0 2  3.655  221
3 1 4  2.162  200
4 1 3  1.882  193